Simulated powder diffraction line list of DyTiCd for copper Kα, from DFT lattice parameters and positions (GGA-PBE).

Structural model:
```
data_DyTiCd
_cell_length_a 5.2455
_cell_length_b 9.9307
_cell_length_c 11.2026
_cell_angle_alpha 90.00
_cell_angle_beta 90.00
_cell_angle_gamma 90.00
_space_group_name_H-M_alt 'F m m m'
_space_group_IT_number 69
_space_group_name_Hall '-F 2 2'
loop_
_atom_site_label
_atom_site_fract_x
_atom_site_fract_y
_atom_site_fract_z
Dy1 0.0000 0.0000 0.1314
Ti1 0.0000 0.1949 0.5000
Cd1 0.2500 0.2500 0.2500
```

Most intense lines, 5 to 70 degrees two-theta, by angle:
5.601 Å, I = 256, (0 0 2); 4.285 Å, I = 757, (1 1 1); 2.909 Å, I = 687, (1 1 3); 2.716 Å, I = 632, (1 3 1); 2.483 Å, I = 443, (0 4 0); 2.439 Å, I = 1000, (0 2 4); 2.375 Å, I = 215, (2 0 2); 2.319 Å, I = 515, (2 2 0); 2.143 Å, I = 380, (2 2 2); 1.914 Å, I = 260, (2 0 4); 1.516 Å, I = 328, (2 4 4); 1.400 Å, I = 242, (0 0 8)